This entry pairs a crystal structure of La10Os2I15 with its theoretical powder diffraction line list. Radiation: a wavelength of 1.5418 Å. Structure: a cell relaxed with PBE.

Crystal structure
Unit cell a=10.1441 b=11.1433 c=11.9080 alpha=92.15 beta=113.92 gamma=110.23
Fractional positions:
La1 0.0249 0.2061 0.0973
La2 0.0877 0.5449 0.3307
La3 0.1646 0.2493 0.8231
La4 0.2260 0.5818 0.0535
La5 0.3001 0.9057 0.2770
La6 0.6999 0.0943 0.7230
La7 0.7740 0.4182 0.9465
La8 0.8354 0.7507 0.1769
La9 0.9123 0.4551 0.6693
La10 0.9751 0.7939 0.9027
Os1 0.0322 0.6747 0.1203
Os2 0.9678 0.3253 0.8797
I1 0.0930 0.0414 0.3410
I2 0.1451 0.3867 0.5821
I3 0.2156 0.7393 0.8169
I4 0.2662 0.0883 0.0559
I5 0.3418 0.4439 0.3028
I6 0.3890 0.7995 0.5344
I7 0.4331 0.1534 0.7714
I8 0.5000 0.5000 0.0000
I9 0.5669 0.8466 0.2286
I10 0.6110 0.2005 0.4656
I11 0.6582 0.5561 0.6972
I12 0.7338 0.9117 0.9441
I13 0.7844 0.2607 0.1831
I14 0.8549 0.6133 0.4179
I15 0.9070 0.9586 0.6590

Most intense lines, 2θ = 10–90°, in order of rising 2θ:
2theta, I (rel.), (hkl)
27.46, 99.2, 0 2 -3
27.70, 100.0, 1 2 1
28.12, 91.0, -3 2 2
39.07, 34.8, 1 4 -2
39.27, 34.3, 4 0 -1
39.72, 36.3, 1 0 4